Simulated powder XRD pattern of Ga for Cu Kα X-rays, from DFT lattice parameters and positions (GGA-PBE).

Structural model:
```
data_Ga
_cell_length_a 5.1572
_cell_length_b 9.3050
_cell_length_c 6.4919
_cell_angle_alpha 90.00
_cell_angle_beta 90.00
_cell_angle_gamma 90.00
_symmetry_space_group_name_H-M 'I m m a'
_symmetry_Int_Tables_number 74
_symmetry_space_group_name_Hall '-I 2b 2'
loop_
_atom_site_label
_atom_site_type_symbol
_atom_site_fract_x
_atom_site_fract_y
_atom_site_fract_z
Ga1 Ga 0.0000 0.0000 0.0000
Ga2 Ga 0.0000 0.1107 0.3742
Ga3 Ga 0.0000 0.2500 0.7937
```

Principal peaks in the range 2θ from 15° to 90°, low angle first:
- 2θ 31.98, I 76, hkl 0 3 1
- 2θ 33.67, I 47, hkl 0 2 2
- 2θ 34.03, I 86, hkl 1 1 2
- 2θ 34.79, I 100, hkl 2 0 0
- 2θ 42.91, I 17, hkl 0 1 3
- 2θ 44.03, I 19, hkl 1 3 2
- 2θ 44.97, I 81, hkl 1 4 1
- 2θ 47.97, I 48, hkl 2 3 1
- 2θ 49.19, I 31, hkl 2 2 2
- 2θ 49.72, I 35, hkl 1 2 3
- 2θ 69.52, I 21, hkl 3 4 1
- 2θ 81.35, I 22, hkl 2 4 4